For ErInO3, a PBE-relaxed structure gives the computed powder X-ray diffraction pattern in this record (Cu Ka).

The 8 most intense peaks (15° ≤ 2θ ≤ 90°), most intense first:
Position (°2θ)	intensity
31.83	100
29.13	83
49.94	38
58.85	38
53.33	27
28.22	20
60.45	17
40.97	16

Cell and atoms:
```
30
Lattice="6.326 0.000 0.000 -3.163 5.478 0.000 0.000 0.000 12.277" Properties=species:S:1:pos:R:3 pbc="T T T"
Er 0.000 0.000 0.000
Er 0.000 0.000 6.139
Er 0.000 3.652 5.714
Er 0.000 3.652 11.853
Er 3.163 1.826 5.714
Er 3.163 1.826 11.853
In -1.055 1.828 2.838
In -2.108 3.650 8.977
In 2.111 0.000 2.838
In 1.055 1.828 8.977
In 4.215 0.000 8.977
In 2.108 3.650 2.838
O 0.000 0.000 2.408
O 0.000 0.000 8.546
O -0.964 1.670 4.965
O -1.150 1.993 0.735
O -2.012 3.486 6.874
O -2.198 3.808 11.104
O 1.929 0.000 4.965
O 0.964 1.670 11.104
O 0.000 3.652 3.235
O 0.000 3.652 9.374
O 2.301 0.000 0.735
O 1.150 1.993 6.874
O 4.025 0.000 6.874
O 2.012 3.486 0.735
O 3.163 1.826 3.235
O 3.163 1.826 9.374
O 4.397 0.000 11.104
O 2.198 3.808 4.965
```



For Er5In4Pd2, a PBE-relaxed structure gives the computed powder X-ray diffraction pattern in this record (Cu Ka).

The 8 most intense peaks (15° ≤ 2θ ≤ 90°), most intense first:
Position (°2θ)	intensity
34.72	100
33.60	80
36.80	29
36.49	28
36.27	26
50.65	19
37.02	16
31.48	13

Cell and atoms:
```
22
Lattice="8.096 0.000 0.000 0.000 18.211 0.000 0.000 0.000 3.604" Properties=species:S:1:pos:R:3 pbc="T T T"
Er 0.000 0.000 0.000
Er 0.905 7.608 0.000
Er 1.943 4.008 0.000
Er 2.106 13.113 0.000
Er 3.143 16.714 0.000
Er 4.048 9.105 0.000
Er 4.954 1.497 0.000
Er 5.991 5.098 0.000
Er 6.154 14.203 0.000
Er 7.191 10.602 0.000
In 0.666 15.500 1.802
In 1.734 10.367 1.802
In 2.314 1.261 1.802
In 3.382 6.394 1.802
In 4.714 11.817 1.802
In 5.783 16.950 1.802
In 6.362 7.844 1.802
In 7.430 2.711 1.802
Pd 0.199 5.533 1.802
Pd 3.849 14.639 1.802
Pd 4.247 3.572 1.802
Pd 7.898 12.678 1.802
```



For PmErIn2, a PBE-relaxed structure gives the computed powder X-ray diffraction pattern in this record (Cu Ka).

The 8 most intense peaks (15° ≤ 2θ ≤ 90°), most intense first:
Position (°2θ)	intensity
33.23	100
59.37	37
47.70	18
79.48	16
69.76	11
88.91	4
23.33	2
53.75	1

Cell and atoms:
```
4
Lattice="0.000 3.813 3.813 3.813 0.000 3.813 3.813 3.813 0.000" Properties=species:S:1:pos:R:3 pbc="T T T"
Pm 0.000 0.000 0.000
Er 3.813 3.813 3.813
In 1.907 1.907 1.907
In 5.720 5.720 5.720
```



For ErIn5Rh, a PBE-relaxed structure gives the computed powder X-ray diffraction pattern in this record (Cu Ka).

The 8 most intense peaks (15° ≤ 2θ ≤ 90°), most intense first:
Position (°2θ)	intensity
36.26	100
38.53	52
68.22	30
29.55	30
55.62	18
53.74	16
35.99	13
68.85	10

Cell and atoms:
```
7
Lattice="4.674 0.000 0.000 0.000 4.674 0.000 0.000 0.000 7.485" Properties=species:S:1:pos:R:3 pbc="T T T"
Er 0.000 0.000 0.000
In 0.000 2.337 2.243
In 0.000 2.337 5.242
In 2.337 0.000 2.243
In 2.337 0.000 5.242
In 2.337 2.337 0.000
Rh 0.000 0.000 3.743
```



For Er4InRh, a PBE-relaxed structure gives the computed powder X-ray diffraction pattern in this record (Cu Ka).

The 8 most intense peaks (15° ≤ 2θ ≤ 90°), most intense first:
Position (°2θ)	intensity
34.42	100
32.39	51
57.78	47
37.58	32
28.74	26
89.16	15
69.01	15
87.31	14

Cell and atoms:
```
24
Lattice="0.000 6.770 6.770 6.770 0.000 6.770 6.770 6.770 0.000" Properties=species:S:1:pos:R:3 pbc="T T T"
Er 3.385 3.385 0.824
Er 3.385 0.824 3.385
Er 5.947 3.385 3.385
Er 6.770 6.770 2.546
Er 6.770 2.546 6.770
Er 10.995 6.770 6.770
Er 8.123 5.418 5.418
Er 0.824 3.385 3.385
Er 3.385 5.947 3.385
Er 3.385 3.385 5.947
Er 5.418 8.123 5.418
Er 5.418 5.418 8.123
Er 8.123 8.123 8.123
Er 2.546 6.770 6.770
Er 6.770 10.995 6.770
Er 6.770 6.770 10.995
In 11.278 9.033 9.033
In 9.033 11.278 9.033
In 9.033 9.033 11.278
In 11.278 11.278 11.278
Rh 5.318 5.318 5.318
Rh 8.223 8.223 5.318
Rh 8.223 5.318 8.223
Rh 5.318 8.223 8.223
```



For TbErIn2, a PBE-relaxed structure gives the computed powder X-ray diffraction pattern in this record (Cu Ka).

The 8 most intense peaks (15° ≤ 2θ ≤ 90°), most intense first:
Position (°2θ)	intensity
33.79	100
60.46	37
48.54	18
81.07	16
71.09	11
23.72	3
54.72	1
41.71	1

Cell and atoms:
```
4
Lattice="0.000 3.751 3.751 3.751 0.000 3.751 3.751 3.751 0.000" Properties=species:S:1:pos:R:3 pbc="T T T"
Tb 0.000 0.000 0.000
Er 3.751 3.751 3.751
In 1.875 1.875 1.875
In 5.626 5.626 5.626
```



For Er2TlIn, a PBE-relaxed structure gives the computed powder X-ray diffraction pattern in this record (Cu Ka).

The 8 most intense peaks (15° ≤ 2θ ≤ 90°), most intense first:
Position (°2θ)	intensity
33.81	100
60.48	38
48.56	18
81.11	16
71.12	12
20.51	4
39.87	2
53.24	1

Cell and atoms:
```
4
Lattice="0.000 3.750 3.750 3.750 0.000 3.750 3.750 3.750 0.000" Properties=species:S:1:pos:R:3 pbc="T T T"
Er 1.875 1.875 1.875
Er 5.624 5.624 5.624
Tl 0.000 0.000 0.000
In 3.750 3.750 3.750
```



For ErTmIn2, a PBE-relaxed structure gives the computed powder X-ray diffraction pattern in this record (Cu Ka).

The 8 most intense peaks (15° ≤ 2θ ≤ 90°), most intense first:
Position (°2θ)	intensity
33.88	100
60.62	37
48.67	18
81.31	16
71.28	11
23.78	4
54.86	2
41.81	1

Cell and atoms:
```
4
Lattice="0.000 3.742 3.742 3.742 0.000 3.742 3.742 3.742 0.000" Properties=species:S:1:pos:R:3 pbc="T T T"
Er 0.000 0.000 0.000
Tm 3.742 3.742 3.742
In 1.871 1.871 1.871
In 5.613 5.613 5.613
```



For YErIn2, a PBE-relaxed structure gives the computed powder X-ray diffraction pattern in this record (Cu Ka).

The 8 most intense peaks (15° ≤ 2θ ≤ 90°), most intense first:
Position (°2θ)	intensity
33.82	100
60.50	36
48.57	18
81.13	16
71.14	11
20.52	5
39.88	3
53.26	1

Cell and atoms:
```
4
Lattice="0.000 3.749 3.749 3.749 0.000 3.749 3.749 3.749 0.000" Properties=species:S:1:pos:R:3 pbc="T T T"
Y 0.000 0.000 0.000
Er 3.749 3.749 3.749
In 1.874 1.874 1.874
In 5.623 5.623 5.623
```



For ErZnIn, a PBE-relaxed structure gives the computed powder X-ray diffraction pattern in this record (Cu Ka).

The 8 most intense peaks (15° ≤ 2θ ≤ 90°), most intense first:
Position (°2θ)	intensity
33.49	100
38.62	63
52.03	28
66.64	27
65.87	25
69.89	11
22.01	11
51.13	9

Cell and atoms:
```
6
Lattice="4.662 0.000 0.000 -2.331 4.038 0.000 0.000 0.000 7.146" Properties=species:S:1:pos:R:3 pbc="T T T"
Er 0.000 0.000 0.000
Er 0.000 0.000 3.573
Zn 0.000 2.692 1.787
Zn 2.331 1.346 5.360
In 0.000 2.692 5.360
In 2.331 1.346 1.787
```



For ErIr2, a PBE-relaxed structure gives the computed powder X-ray diffraction pattern in this record (Cu Ka).

The 8 most intense peaks (15° ≤ 2θ ≤ 90°), most intense first:
Position (°2θ)	intensity
39.56	100
41.40	45
64.04	33
70.51	29
33.55	23
85.20	18
84.00	12
20.36	10

Cell and atoms:
```
6
Lattice="0.000 3.778 3.778 3.778 0.000 3.778 3.778 3.778 0.000" Properties=species:S:1:pos:R:3 pbc="T T T"
Er 0.944 0.944 0.944
Er 6.611 6.611 6.611
Ir 3.778 1.889 1.889
Ir 1.889 3.778 1.889
Ir 1.889 1.889 3.778
Ir 3.778 3.778 3.778
```